Theoretical XRD peak list
Compound: Rb2SiAuSe4
Radiation: Cu Kα (λ = 1.5418 Å)
Structure: a cell relaxed with GGA-PBE
Kinematic intensities with the Lorentz-polarization factor, no thermal factor.

Cell and atoms:
abc: 6.6580 14.2262 22.4026
angles: 90.00 90.00 90.00
Space group Fddd (No. 70, origin choice 2)
Inequivalent atoms, fractional coordinates:
Rb: 0.1250 0.1250 0.3037
Si: 0.1250 0.1250 0.6250
Au: 0.1250 0.1250 0.1250
Se: 0.0882 0.2791 0.8212

The 12 most intense peaks (10 to 90 degrees two-theta), low angle first:
hkl 0 2 2, 2θ = 14.8°, I 67
hkl 0 0 4, 2θ = 15.8°, I 44
hkl 1 3 1, 2θ = 23.4°, I 69
hkl 1 3 3, 2θ = 26.0°, I 27
hkl 0 2 6, 2θ = 27.0°, I 42
hkl 2 2 0, 2θ = 29.6°, I 26
hkl 1 3 5, 2θ = 30.6°, I 100
hkl 1 1 7, 2θ = 31.7°, I 28
hkl 2 0 6, 2θ = 36.1°, I 45
hkl 2 4 2, 2θ = 37.9°, I 25
hkl 0 6 6, 2θ = 45.3°, I 31
hkl 2 6 0, 2θ = 47.1°, I 42